(1)
Structure and calculated powder diffractogram of DyPu3 (a DFT-relaxed cell (PBE, the Materials Project); Cu Kα (weighted mean of Kα1 and Kα2)).
Intensities are scaled so that the largest is 100.

Peak list (10 most intense, 2θ = 10–90°, by angle)
20.54°, I 2, (1 0 1); 32.06°, I 100, (1 1 2); 37.19°, I 51, (2 0 0); 53.62°, I 36, (2 2 0); 63.77°, I 15, (1 1 6); 63.90°, I 29, (3 1 2); 67.06°, I 13, (2 2 4); 79.33°, I 4, (4 0 0); 88.02°, I 13, (3 1 6); 88.13°, I 6, (3 3 2)

```
data_DyPu3
_symmetry_space_group_name_H-M 'I 4/m m m'
_symmetry_Int_Tables_number 139
_symmetry_space_group_name_Hall '-I 4 2'
_cell_length_a 4.8310
_cell_length_b 4.8310
_cell_length_c 9.6847
_cell_angle_alpha 90.00
_cell_angle_beta 90.00
_cell_angle_gamma 90.00
loop_
_atom_site_label
_atom_site_fract_x
_atom_site_fract_y
_atom_site_fract_z
_atom_site_occupancy
Dy1 0.0000 0.0000 0.0000 1
Pu1 0.0000 0.0000 0.5000 1
Pu2 0.0000 0.5000 0.2500 1
```

---

(2)
Structure and calculated powder diffractogram of RbDyS2 (a DFT-relaxed cell (PBE, the Materials Project); Cu Kα (weighted mean of Kα1 and Kα2)).
Intensities are scaled so that the largest is 100.

Peak list (10 most intense, 2θ = 10–90°, by angle)
11.52°, I 31, (0 0 3); 23.16°, I 25, (0 0 6); 26.37°, I 46, (0 1 2); 29.65°, I 100, (1 0 4); 40.39°, I 37, (0 1 8); 44.39°, I 34, (1 1 0); 47.08°, I 15, (1 0 10); 50.65°, I 24, (1 1 6); 54.29°, I 17, (0 2 4); 72.64°, I 15, (2 1 4)

```
data_RbDyS2
_symmetry_space_group_name_H-M 'R -3 m'
_symmetry_Int_Tables_number 166
_symmetry_space_group_name_Hall '-R 3 2"'
_cell_length_a 4.0818
_cell_length_b 4.0818
_cell_length_c 23.0435
_cell_angle_alpha 90.00
_cell_angle_beta 90.00
_cell_angle_gamma 120.00
loop_
_atom_site_label
_atom_site_fract_x
_atom_site_fract_y
_atom_site_fract_z
_atom_site_occupancy
Rb1 0.0000 0.0000 0.0000 1
Dy1 0.0000 0.0000 0.5000 1
S1 0.0000 0.0000 0.2306 1
```

---

(3)
Structure and calculated powder diffractogram of DyRe2 (a DFT-relaxed cell (PBE, the Materials Project); Cu Kα (weighted mean of Kα1 and Kα2)).
Intensities are scaled so that the largest is 100.

Peak list (10 most intense, 2θ = 10–90°, by angle)
32.95°, I 23, (1 1 0); 35.94°, I 65, (1 0 3); 38.89°, I 100, (1 1 2); 39.62°, I 92, (2 0 1); 40.81°, I 22, (0 0 4); 43.56°, I 25, (2 0 2); 60.80°, I 24, (2 1 3); 62.84°, I 25, (3 0 2); 66.08°, I 33, (2 0 5); 69.12°, I 29, (2 2 0)

```
data_DyRe2
_symmetry_space_group_name_H-M 'P 63/m m c'
_symmetry_Int_Tables_number 194
_symmetry_space_group_name_Hall '-P 6c 2c'
_cell_length_a 5.4360
_cell_length_b 5.4360
_cell_length_c 8.8438
_cell_angle_alpha 90.00
_cell_angle_beta 90.00
_cell_angle_gamma 120.00
loop_
_atom_site_label
_atom_site_fract_x
_atom_site_fract_y
_atom_site_fract_z
_atom_site_occupancy
Dy1 0.3333 0.6667 0.0627 1
Re1 0.0000 0.0000 0.0000 1
Re2 0.1715 0.3431 0.7500 1
```

---

(4)
Structure and calculated powder diffractogram of Dy2Re3Si5 (a DFT-relaxed cell (PBE, the Materials Project); Cu Kα (weighted mean of Kα1 and Kα2)).
Intensities are scaled so that the largest is 100.

Peak list (10 most intense, 2θ = 10–90°, by angle)
25.61°, I 100, (3 1 0); 29.19°, I 37, (3 0 1); 30.31°, I 86, (3 1 1); 34.25°, I 44, (1 1 2); 36.53°, I 55, (4 2 0); 37.39°, I 87, (4 1 1); 39.86°, I 55, (2 2 2); 44.30°, I 40, (4 3 1); 46.45°, I 31, (4 0 2); 47.98°, I 39, (3 3 2)

```
data_Dy2Re3Si5
_symmetry_space_group_name_H-M 'P 4/m n c'
_symmetry_Int_Tables_number 128
_symmetry_space_group_name_Hall '-P 4 2n'
_cell_length_a 10.9995
_cell_length_b 10.9995
_cell_length_c 5.5603
_cell_angle_alpha 90.00
_cell_angle_beta 90.00
_cell_angle_gamma 90.00
loop_
_atom_site_label
_atom_site_fract_x
_atom_site_fract_y
_atom_site_fract_z
_atom_site_occupancy
Dy1 0.0770 0.2378 0.0000 1
Re1 0.0000 0.5000 0.2500 1
Re2 0.1242 0.8532 0.5000 1
Si1 0.0000 0.0000 0.2438 1
Si2 0.0270 0.3147 0.5000 1
Si3 0.1730 0.6730 0.2500 1
```

---

(5)
Structure and calculated powder diffractogram of DyRh2 (a DFT-relaxed cell (PBE, the Materials Project); Cu Kα (weighted mean of Kα1 and Kα2)).
Intensities are scaled so that the largest is 100.

Peak list (10 most intense, 2θ = 10–90°, by angle)
33.53°, I 42, (2 2 0); 39.54°, I 100, (3 1 1); 41.38°, I 27, (2 2 2); 48.16°, I 1, (4 0 0); 59.96°, I 16, (4 2 2); 64.01°, I 32, (5 1 1); 70.48°, I 26, (4 4 0); 80.34°, I 7, (6 2 0); 83.95°, I 11, (5 3 3); 85.15°, I 10, (6 2 2)

Lattice parameters (Å, degrees): 7.5584 7.5584 7.5584 90.00 90.00 90.00
Space group Fd-3m (No. 227, origin choice 2)
One atom of each set of equivalent atoms:
Dy (0.1250, 0.1250, 0.1250) x8
Rh (0.0000, 0.0000, 0.5000) x16